Record 1
For V2CdO6, a cell relaxed with GGA+U gives the theoretical powder diffractogram in this record (copper Kα).
Intensities are scaled so that the largest is 100.

Top 12 peaks for 2θ from 10° to 90°, sorted by position:
4.561 Å, I 51; 3.345 Å, I 100; 3.303 Å, I 83; 3.148 Å, I 80; 2.818 Å, I 66; 2.530 Å, I 27; 2.389 Å, I 58; 2.182 Å, I 23; 1.807 Å, I 29; 1.718 Å, I 26; 1.568 Å, I 32; 1.565 Å, I 29

a = 5.115 Å, b = 5.115 Å, c = 7.085 Å
α = 110.95°, β = 110.95°, γ = 41.37°
Fractional positions:
V1 0.187 0.187 0.138
V2 0.813 0.813 0.862
Cd1 0.000 0.000 0.500
O1 0.030 0.030 0.198
O2 0.304 0.304 0.936
O3 0.335 0.335 0.370
O4 0.665 0.665 0.630
O5 0.696 0.696 0.064
O6 0.970 0.970 0.802

Record 2
For Li6MnFeP2C2O14, a cell relaxed with GGA+U gives the theoretical powder diffractogram in this record (copper Kα).
Intensities are scaled so that the largest is 100.

Top 12 peaks for 2θ from 10° to 90°, sorted by position:
8.542 Å, I 82; 5.173 Å, I 20; 4.567 Å, I 31; 4.110 Å, I 60; 3.466 Å, I 52; 3.251 Å, I 100; 2.847 Å, I 17; 2.504 Å, I 12; 2.485 Å, I 35; 2.215 Å, I 27; 2.101 Å, I 12; 1.626 Å, I 21

a = 5.045 Å, b = 6.502 Å, c = 8.604 Å
α = 90.00°, β = 96.91°, γ = 90.00°
Fractional positions:
Li1 0.000 0.000 0.000
Li2 0.076 0.271 0.625
Li3 0.076 0.729 0.625
Li4 0.530 0.234 0.168
Li5 0.530 0.766 0.168
Li6 0.609 0.500 0.791
Mn1 0.585 0.000 0.559
Fe1 0.016 0.500 0.229
P1 0.068 0.000 0.305
P2 0.542 0.500 0.487
C1 0.140 0.500 0.936
C2 0.466 0.000 0.860
O1 0.212 0.500 0.796
O2 0.229 0.500 0.468
O3 0.284 0.000 0.738
O4 0.319 0.500 0.060
O5 0.379 0.000 0.321
O6 0.396 0.000 0.001
O7 0.637 0.500 0.324
O8 0.652 0.315 0.591
O9 0.652 0.685 0.591
O10 0.714 0.000 0.836
O11 0.892 0.500 0.959
O12 0.957 0.187 0.203
O13 0.957 0.813 0.203
O14 0.978 0.000 0.469

Record 3
For CrSO6, a cell relaxed with GGA+U gives the theoretical powder diffractogram in this record (copper Kα).
Intensities are scaled so that the largest is 100.

Top 12 peaks for 2θ from 10° to 90°, sorted by position:
7.015 Å, I 44; 6.219 Å, I 93; 5.795 Å, I 100; 5.609 Å, I 56; 4.866 Å, I 52; 3.607 Å, I 28; 3.590 Å, I 81; 3.493 Å, I 48; 3.208 Å, I 25; 3.176 Å, I 42; 3.101 Å, I 53; 3.001 Å, I 92

a = 7.201 Å, b = 7.201 Å, c = 14.084 Å
α = 94.36°, β = 94.36°, γ = 60.12°
Fractional positions:
Cr1 0.057 0.943 0.500
Cr2 0.189 0.563 0.114
Cr3 0.563 0.189 0.614
Cr4 0.725 0.872 0.809
Cr5 0.872 0.725 0.309
Cr6 0.943 0.057 0.000
S1 0.027 0.263 0.194
S2 0.263 0.027 0.694
S3 0.373 0.449 0.416
S4 0.449 0.373 0.916
S5 0.689 0.803 0.026
S6 0.803 0.689 0.526
O1 0.000 0.703 0.550
O2 0.000 0.724 0.210
O3 0.071 0.136 0.746
O4 0.091 0.126 0.953
O5 0.125 0.826 0.052
O6 0.126 0.091 0.453
O7 0.136 0.071 0.246
O8 0.187 0.306 0.150
O9 0.189 0.464 0.356
O10 0.238 0.884 0.613
O11 0.306 0.187 0.650
O12 0.311 0.394 0.996
O13 0.329 0.666 0.455
O14 0.345 0.567 0.863
O15 0.394 0.311 0.496
O16 0.412 0.512 0.165
O17 0.458 0.870 0.749
O18 0.464 0.189 0.856
O19 0.512 0.412 0.665
O20 0.541 0.789 0.085
O21 0.567 0.345 0.363
O22 0.608 0.906 0.533
O23 0.610 0.808 0.922
O24 0.626 0.873 0.282
O25 0.666 0.329 0.955
O26 0.703 0.000 0.050
O27 0.724 0.000 0.710
O28 0.789 0.541 0.585
O29 0.808 0.610 0.422
O30 0.826 0.125 0.552
O31 0.870 0.458 0.249
O32 0.873 0.626 0.782
O33 0.884 0.238 0.113
O34 0.888 0.926 0.888
O35 0.906 0.608 0.033
O36 0.926 0.888 0.388

Record 4
For LiMn2C4O12, a cell relaxed with GGA+U gives the theoretical powder diffractogram in this record (copper Kα).
Intensities are scaled so that the largest is 100.

Top 12 peaks for 2θ from 10° to 90°, sorted by position:
6.410 Å, I 100; 6.153 Å, I 82; 5.619 Å, I 12; 4.487 Å, I 17; 4.075 Å, I 15; 3.878 Å, I 11; 3.205 Å, I 22; 3.005 Å, I 8; 2.936 Å, I 13; 2.881 Å, I 12; 2.564 Å, I 9; 2.138 Å, I 16

a = 7.331 Å, b = 9.741 Å, c = 8.459 Å
α = 90.00°, β = 110.23°, γ = 90.00°
Fractional positions:
Li1 0.239 0.000 0.383
Li2 0.761 0.500 0.617
Mn1 0.198 0.707 0.176
Mn2 0.284 0.419 0.315
Mn3 0.716 0.919 0.685
Mn4 0.802 0.207 0.824
C1 0.003 0.965 0.020
C2 0.014 0.082 0.613
C3 0.492 0.045 0.884
C4 0.494 0.674 0.508
C5 0.506 0.174 0.492
C6 0.508 0.545 0.116
C7 0.986 0.582 0.387
C8 0.997 0.465 0.980
O1 0.011 0.681 0.294
O2 0.041 0.593 0.986
O3 0.073 0.379 0.102
O4 0.086 0.467 0.407
O5 0.129 0.917 0.157
O6 0.136 0.093 0.540
O7 0.365 0.028 0.952
O8 0.365 0.216 0.362
O9 0.387 0.762 0.401
O10 0.426 0.664 0.109
O11 0.466 0.439 0.189
O12 0.469 0.542 0.491
O13 0.531 0.042 0.509
O14 0.534 0.939 0.811
O15 0.574 0.164 0.891
O16 0.613 0.262 0.599
O17 0.635 0.528 0.048
O18 0.635 0.716 0.638
O19 0.864 0.593 0.460
O20 0.871 0.417 0.843
O21 0.914 0.967 0.593
O22 0.927 0.879 0.898
O23 0.959 0.093 0.014
O24 0.989 0.181 0.706

Record 5
For K2NiPCO7, a cell relaxed with GGA+U gives the theoretical powder diffractogram in this record (copper Kα).
Intensities are scaled so that the largest is 100.

Top 12 peaks for 2θ from 10° to 90°, sorted by position:
5.678 Å, I 42; 4.795 Å, I 22; 4.300 Å, I 39; 3.603 Å, I 32; 3.523 Å, I 25; 2.839 Å, I 44; 2.824 Å, I 100; 2.761 Å, I 31; 2.714 Å, I 47; 2.282 Å, I 30; 1.762 Å, I 19; 1.603 Å, I 18

a = 5.428 Å, b = 7.047 Å, c = 9.589 Å
α = 90.00°, β = 90.29°, γ = 90.00°
Fractional positions:
K1 0.246 0.026 0.246
K2 0.246 0.474 0.246
K3 0.754 0.526 0.754
K4 0.754 0.974 0.754
Ni1 0.226 0.250 0.859
Ni2 0.774 0.750 0.141
P1 0.281 0.750 0.929
P2 0.719 0.250 0.071
C1 0.272 0.250 0.602
C2 0.728 0.750 0.398
O1 0.060 0.250 0.665
O2 0.115 0.750 0.060
O3 0.237 0.570 0.839
O4 0.237 0.930 0.839
O5 0.294 0.250 0.472
O6 0.441 0.250 0.026
O7 0.459 0.250 0.688
O8 0.541 0.750 0.312
O9 0.559 0.750 0.974
O10 0.706 0.750 0.528
O11 0.763 0.070 0.161
O12 0.763 0.430 0.161
O13 0.885 0.250 0.940
O14 0.940 0.750 0.335

Record 6
For LiCoPO4, a cell relaxed with GGA+U gives the theoretical powder diffractogram in this record (copper Kα).
Intensities are scaled so that the largest is 100.

Top 12 peaks for 2θ from 10° to 90°, sorted by position:
7.395 Å, I 100; 4.977 Å, I 12; 4.263 Å, I 19; 3.610 Å, I 23; 3.354 Å, I 80; 3.074 Å, I 22; 2.887 Å, I 69; 2.488 Å, I 13; 2.284 Å, I 17; 2.237 Å, I 15; 1.983 Å, I 9; 1.524 Å, I 10

a = 4.548 Å, b = 5.169 Å, c = 7.624 Å
α = 90.33°, β = 103.50°, γ = 105.14°
Fractional positions:
Li1 0.236 0.219 0.491
Li2 0.764 0.781 0.509
Co1 0.434 0.268 0.100
Co2 0.566 0.732 0.900
P1 0.151 0.693 0.241
P2 0.849 0.307 0.759
O1 0.139 0.839 0.413
O2 0.186 0.418 0.885
O3 0.297 0.453 0.293
O4 0.356 0.884 0.130
O5 0.644 0.116 0.870
O6 0.703 0.547 0.707
O7 0.814 0.582 0.115
O8 0.861 0.161 0.587

Record 7
For Ca3MnCoO6, a cell relaxed with GGA+U gives the theoretical powder diffractogram in this record (copper Kα).
Intensities are scaled so that the largest is 100.

Top 12 peaks for 2θ from 10° to 90°, sorted by position:
4.608 Å, I 57; 2.822 Å, I 41; 2.660 Å, I 100; 2.223 Å, I 29; 2.168 Å, I 17; 2.002 Å, I 50; 1.936 Å, I 50; 1.706 Å, I 14; 1.536 Å, I 16; 1.511 Å, I 26; 1.482 Å, I 8; 1.330 Å, I 17

a = 6.401 Å, b = 6.408 Å, c = 6.412 Å
α = 92.00°, β = 91.97°, γ = 91.96°
Fractional positions:
Ca1 0.000 0.000 0.000
Ca2 0.138 0.501 0.860
Ca3 0.361 0.278 0.358
Ca4 0.501 0.780 0.220
Ca5 0.639 0.641 0.721
Ca6 0.860 0.138 0.499
Mn1 0.248 0.889 0.612
Mn2 0.748 0.391 0.111
Co1 0.004 0.636 0.359
Co2 0.503 0.142 0.855
O1 0.036 0.346 0.194
O2 0.164 0.934 0.325
O3 0.205 0.177 0.695
O4 0.293 0.602 0.528
O5 0.332 0.843 0.898
O6 0.461 0.436 0.029
O7 0.536 0.972 0.565
O8 0.664 0.104 0.156
O9 0.705 0.475 0.397
O10 0.793 0.306 0.823
O11 0.830 0.677 0.063
O12 0.962 0.808 0.657

Record 8
For Li6V3CuP6O24, a cell relaxed with GGA+U gives the theoretical powder diffractogram in this record (copper Kα).
Intensities are scaled so that the largest is 100.

Top 12 peaks for 2θ from 10° to 90°, sorted by position:
4.429 Å, I 47; 4.305 Å, I 49; 4.247 Å, I 48; 4.224 Å, I 49; 3.764 Å, I 60; 3.728 Å, I 91; 3.698 Å, I 55; 3.672 Å, I 100; 2.864 Å, I 37; 2.718 Å, I 40; 2.675 Å, I 32; 2.547 Å, I 32

a = 8.460 Å, b = 8.505 Å, c = 8.626 Å
α = 61.74°, β = 62.53°, γ = 62.90°
Fractional positions:
Li1 0.000 0.000 0.000
Li2 0.084 0.936 0.500
Li3 0.188 0.459 0.350
Li4 0.354 0.779 0.138
Li5 0.558 0.642 0.804
Li6 0.820 0.299 0.646
V1 0.481 0.937 0.282
V2 0.699 0.150 0.506
V3 0.983 0.436 0.792
Cu1 0.194 0.643 0.983
P1 0.092 0.247 0.194
P2 0.292 0.040 0.683
P3 0.399 0.541 0.594
P4 0.594 0.332 0.107
P5 0.788 0.843 0.904
P6 0.882 0.754 0.404
O1 0.036 0.279 0.034
O2 0.070 0.740 0.247
O3 0.100 0.197 0.713
O4 0.151 0.407 0.166
O5 0.228 0.485 0.640
O6 0.251 0.052 0.214
O7 0.282 0.874 0.872
O8 0.312 0.986 0.525
O9 0.390 0.594 0.744
O10 0.394 0.713 0.408
O11 0.438 0.523 0.095
O12 0.457 0.098 0.638
O13 0.522 0.173 0.147
O14 0.588 0.388 0.558
O15 0.594 0.862 0.060
O16 0.671 0.279 0.258
O17 0.710 0.808 0.346
O18 0.746 0.351 0.911
O19 0.781 0.029 0.737
O20 0.827 0.678 0.849
O21 0.857 0.901 0.475
O22 0.893 0.557 0.559
O23 0.940 0.819 0.972
O24 0.945 0.212 0.390